# 1
For Sm3InS6, a GGA-PBE-relaxed structure gives the computed PXRD pattern in this record (Cu Kα (λ = 1.5418 Å)).

Main lines, in order of rising 2θ (5° ≤ 2θ ≤ 70°):
two_theta, d/Å, I/Imax, h k l
24.9, 3.570, 100, 2 4 0
25.9, 3.443, 91, 4 0 0
30.7, 2.911, 41, 2 3 1
34.1, 2.631, 54, 3 3 1
35.2, 2.548, 40, 0 5 1
46.1, 1.968, 40, 0 0 2

Cell and atoms:
a b c (Å): 13.7347 16.7171 3.9352
angles (deg): 90.00 90.00 90.00
Space group Pnnm (No. 58)
One atom of each set of equivalent atoms:
Sm: 0.0407 0.2232 0.0000
Sm: 0.1882 0.6462 0.0000
Sm: 0.2484 0.8935 0.5000
In: 0.0000 0.0000 0.5000
In: 0.0000 0.5000 0.5000
S: 0.0214 0.3960 0.0000
S: 0.0949 0.9147 0.0000
S: 0.1114 0.7473 0.5000
S: 0.1122 0.1159 0.5000
S: 0.1822 0.2859 0.5000
S: 0.1904 0.5199 0.5000



# 2
For Mg6NbSiO8, a GGA-PBE-relaxed structure gives the computed PXRD pattern in this record (Cu Kα (λ = 1.5418 Å)).

Main lines, in order of rising 2θ (5° ≤ 2θ ≤ 70°):
two_theta, d/Å, I/Imax, h k l
10.0, 8.818, 36, 0 0 1
35.5, 2.527, 40, 1 1 2
40.9, 2.205, 52, 0 0 4
41.4, 2.180, 100, 2 0 0
59.6, 1.550, 60, 2 0 4
60.0, 1.542, 29, 2 2 0

Cell and atoms:
a b c (Å): 4.3608 4.3608 8.8181
angles (deg): 90.00 90.00 90.00
Space group P4/mmm (No. 123)
One atom of each set of equivalent atoms:
Mg: 0.0000 0.0000 0.0000
Mg: 0.0000 0.0000 0.5000
Mg: 0.0000 0.5000 0.2480
Nb: 0.5000 0.5000 0.5000
Si: 0.5000 0.5000 0.0000
O: 0.0000 0.0000 0.2498
O: 0.0000 0.5000 0.0000
O: 0.0000 0.5000 0.5000
O: 0.5000 0.5000 0.2432